# Tb2SmDy4Mg
Computed powder XRD pattern, Cu Kα, 1.54184 Å. Input: DFT lattice parameters and positions (GGA-PBE).
Lines closer than 0.1° are merged.

Structural model:
```
data_Tb2SmDy4Mg
_symmetry_space_group_name_H-M 'P m m m'
_symmetry_Int_Tables_number 47
_symmetry_space_group_name_Hall '-P 2 2'
_cell_length_a 4.951
_cell_length_b 4.964
_cell_length_c 10.052
_cell_angle_alpha 90.00
_cell_angle_beta 90.00
_cell_angle_gamma 90.00
loop_
_atom_site_label
_atom_site_fract_x
_atom_site_fract_y
_atom_site_fract_z
Tb1 0.000 0.000 0.000
Tb2 0.500 0.500 0.500
Sm1 0.000 0.000 0.500
Dy1 0.000 0.500 0.247
Dy2 0.500 0.000 0.246
Mg1 0.500 0.500 0.000
```

The 6 most intense peaks (2θ = 15–90°), sorted by position:
- 31.10°, I 100
- 35.73°, I 17
- 36.24°, I 33
- 51.80°, I 24
- 61.33°, I 14
- 61.94°, I 14

***

# LaNd15Y4
Computed powder XRD pattern, Cu Kα, 1.54184 Å. Input: DFT lattice parameters and positions (GGA-PBE).
Lines closer than 0.1° are merged.

Structural model:
```
data_LaNd15Y4
_symmetry_space_group_name_H-M 'P 4/m m m'
_symmetry_Int_Tables_number 123
_symmetry_space_group_name_Hall '-P 4 2'
_cell_length_a 5.187
_cell_length_b 5.187
_cell_length_c 25.860
_cell_angle_alpha 90.00
_cell_angle_beta 90.00
_cell_angle_gamma 90.00
loop_
_atom_site_label
_atom_site_fract_x
_atom_site_fract_y
_atom_site_fract_z
La1 0.000 0.000 0.000
Nd1 0.000 0.500 0.102
Nd2 0.000 0.500 0.301
Nd3 0.000 0.500 0.500
Nd4 0.500 0.500 0.000
Nd5 0.500 0.500 0.202
Nd6 0.500 0.500 0.401
Y1 0.000 0.000 0.201
Y2 0.000 0.000 0.401
```

The 6 most intense peaks (2θ = 15–90°), sorted by position:
- 29.87°, I 100
- 34.59°, I 34
- 34.69°, I 17
- 49.77°, I 36
- 59.09°, I 29
- 59.22°, I 14

***

# HoErTmAl
Computed powder XRD pattern, Cu Kα, 1.54184 Å. Input: DFT lattice parameters and positions (GGA-PBE).
Lines closer than 0.1° are merged.

Structural model:
```
data_HoErTmAl
_symmetry_space_group_name_H-M 'P m m m'
_symmetry_Int_Tables_number 47
_symmetry_space_group_name_Hall '-P 2 2'
_cell_length_a 4.706
_cell_length_b 4.715
_cell_length_c 4.722
_cell_angle_alpha 90.00
_cell_angle_beta 90.00
_cell_angle_gamma 90.00
loop_
_atom_site_label
_atom_site_fract_x
_atom_site_fract_y
_atom_site_fract_z
Ho1 0.000 0.000 0.000
Er1 0.000 0.500 0.500
Tm1 0.500 0.000 0.500
Al1 0.500 0.500 0.000
```

The 6 most intense peaks (2θ = 15–90°), sorted by position:
- 18.82°, I 20
- 26.75°, I 18
- 32.91°, I 100
- 38.15°, I 34
- 55.08°, I 23
- 65.64°, I 27

***

# PrErGa2Au2
Computed powder XRD pattern, Cu Kα, 1.54184 Å. Input: DFT lattice parameters and positions (GGA-PBE).
Lines closer than 0.1° are merged.

Structural model:
```
data_PrErGa2Au2
_symmetry_space_group_name_H-M 'P -3 m 1'
_symmetry_Int_Tables_number 164
_symmetry_space_group_name_Hall '-P 3 2"'
_cell_length_a 4.5583
_cell_length_b 4.5583
_cell_length_c 7.3391
_cell_angle_alpha 90.00
_cell_angle_beta 90.00
_cell_angle_gamma 120.00
loop_
_atom_site_label
_atom_site_fract_x
_atom_site_fract_y
_atom_site_fract_z
Pr1 0.0000 0.0000 0.0000
Er1 0.0000 0.0000 0.5000
Ga1 0.3333 0.6667 0.7282
Au1 0.3333 0.6667 0.2792
```

The 6 most intense peaks (2θ = 15–90°), sorted by position:
- 25.62°, I 27
- 33.34°, I 100
- 39.54°, I 70
- 52.65°, I 28
- 65.29°, I 23
- 67.80°, I 26

***

# NbTeH2PdI
Computed powder XRD pattern, Cu Kα, 1.54184 Å. Input: DFT lattice parameters and positions (GGA-PBE).
Lines closer than 0.1° are merged.

Structural model:
```
data_NbTeH2PdI
_symmetry_space_group_name_H-M 'A m m 2'
_symmetry_Int_Tables_number 38
_symmetry_space_group_name_Hall 'A 2 -2'
_cell_length_a 3.404
_cell_length_b 4.476
_cell_length_c 16.446
_cell_angle_alpha 90.00
_cell_angle_beta 90.00
_cell_angle_gamma 90.00
loop_
_atom_site_label
_atom_site_fract_x
_atom_site_fract_y
_atom_site_fract_z
Nb1 0.000 0.000 0.000
Te1 0.500 0.000 0.140
H1 0.500 0.216 0.968
Pd1 0.500 0.000 0.546
I1 0.000 0.000 0.833
```

The 6 most intense peaks (2θ = 15–90°), sorted by position:
- 20.57°, I 46
- 25.69°, I 57
- 28.37°, I 86
- 33.52°, I 83
- 43.26°, I 100
- 43.50°, I 49

***

# Al3Ag4
Computed powder XRD pattern, Cu Kα, 1.54184 Å. Input: DFT lattice parameters and positions (GGA-PBE).
Lines closer than 0.1° are merged.

Structural model:
```
data_Al3Ag4
_symmetry_space_group_name_H-M 'I 4/m m m'
_symmetry_Int_Tables_number 139
_symmetry_space_group_name_Hall '-I 4 2'
_cell_length_a 2.917
_cell_length_b 2.917
_cell_length_c 28.043
_cell_angle_alpha 90.00
_cell_angle_beta 90.00
_cell_angle_gamma 90.00
loop_
_atom_site_label
_atom_site_fract_x
_atom_site_fract_y
_atom_site_fract_z
Al1 0.000 0.000 0.000
Al2 0.000 0.000 0.286
Ag1 0.000 0.000 0.145
Ag2 0.000 0.000 0.433
```

The 6 most intense peaks (2θ = 15–90°), sorted by position:
- 32.15°, I 27
- 38.17°, I 100
- 43.90°, I 34
- 45.27°, I 14
- 64.91°, I 25
- 76.86°, I 24

***

# Ta6V3Co3C2
Computed powder XRD pattern, Cu Kα, 1.54184 Å. Input: DFT lattice parameters and positions (GGA-PBE).
Lines closer than 0.1° are merged.

Structural model:
```
data_Ta6V3Co3C2
_symmetry_space_group_name_H-M 'I m m 2'
_symmetry_Int_Tables_number 44
_symmetry_space_group_name_Hall 'I 2 -2'
_cell_length_a 8.132
_cell_length_b 8.157
_cell_length_c 11.519
_cell_angle_alpha 90.00
_cell_angle_beta 90.00
_cell_angle_gamma 90.00
loop_
_atom_site_label
_atom_site_fract_x
_atom_site_fract_y
_atom_site_fract_z
Ta1 0.000 0.000 0.000
Ta2 0.000 0.000 0.384
Ta3 0.000 0.500 0.250
Ta4 0.000 0.500 0.635
Ta5 0.190 0.308 0.440
Ta6 0.192 0.192 0.189
V1 0.000 0.161 0.611
V2 0.000 0.248 0.820
V3 0.242 0.500 0.064
Co1 0.000 0.345 0.015
Co2 0.159 0.000 0.771
Co3 0.159 0.500 0.859
C1 0.000 0.251 0.314
C2 0.250 0.000 0.064
```

The 6 most intense peaks (2θ = 15–90°), sorted by position:
- 31.06°, I 26
- 33.91°, I 25
- 38.28°, I 58
- 40.70°, I 100
- 44.48°, I 20
- 69.23°, I 33

***

# Ca2EuH
Computed powder XRD pattern, Cu Kα, 1.54184 Å. Input: DFT lattice parameters and positions (GGA-PBE).
Lines closer than 0.1° are merged.

Structural model:
```
data_Ca2EuH
_symmetry_space_group_name_H-M 'R -3 m'
_symmetry_Int_Tables_number 166
_symmetry_space_group_name_Hall '-R 3 2"'
_cell_length_a 3.7681
_cell_length_b 3.7681
_cell_length_c 28.4843
_cell_angle_alpha 90.00
_cell_angle_beta 90.00
_cell_angle_gamma 120.00
loop_
_atom_site_label
_atom_site_fract_x
_atom_site_fract_y
_atom_site_fract_z
Ca1 0.0000 0.0000 0.2188
Eu1 0.0000 0.0000 0.0000
H1 0.0000 0.0000 0.5000
```

The 6 most intense peaks (2θ = 15–90°), sorted by position:
- 18.69°, I 33
- 27.51°, I 77
- 28.20°, I 47
- 30.12°, I 100
- 31.60°, I 94
- 56.87°, I 40